Entry 1:
Computed powder XRD pattern
Compound: CrAgPRu2
Radiation: Cu Kα, 1.54184 Å
Structure: a structure optimized by DFT (GGA-PBE)

The 10 most intense peaks (10° ≤ 2θ ≤ 80°), by angle:
19.50 deg, I 5
20.50 deg, I 14
35.32 deg, I 100
39.60 deg, I 25
41.70 deg, I 43
58.85 deg, I 30
60.44 deg, I 14
69.08 deg, I 13
71.98 deg, I 23
74.70 deg, I 14

```
data_CrAgPRu2
_symmetry_space_group_name_H-M 'P 1'
_symmetry_Int_Tables_number 1
_symmetry_space_group_name_Hall 'P 1'
_cell_length_a 4.3322
_cell_length_b 4.3322
_cell_length_c 4.5522
_cell_angle_alpha 90.00
_cell_angle_beta 90.00
_cell_angle_gamma 90.00
loop_
_atom_site_label
_atom_site_fract_x
_atom_site_fract_y
_atom_site_fract_z
Cr1 0.0000 0.0000 0.0000
Ag1 0.5000 0.5000 0.0000
P1 0.5000 0.5000 0.5000
Ru1 0.0000 0.5000 0.5000
Ru2 0.5000 0.0000 0.5000
```

Entry 2:
Computed powder XRD pattern
Compound: CrAg2Pb
Radiation: Cu Kα, 1.54184 Å
Structure: a structure optimized by DFT (GGA-PBE)

The 10 most intense peaks (10° ≤ 2θ ≤ 80°), by angle:
13.60 deg, I 7
25.19 deg, I 14
27.39 deg, I 7
28.73 deg, I 17
35.92 deg, I 59
37.55 deg, I 100
45.76 deg, I 7
51.71 deg, I 20
65.64 deg, I 37
68.82 deg, I 14

```
data_CrAg2Pb
_symmetry_space_group_name_H-M 'P 1'
_symmetry_Int_Tables_number 1
_symmetry_space_group_name_Hall 'P 1'
_cell_length_a 3.5359
_cell_length_b 3.5359
_cell_length_c 6.5115
_cell_angle_alpha 90.00
_cell_angle_beta 90.00
_cell_angle_gamma 90.00
loop_
_atom_site_label
_atom_site_fract_x
_atom_site_fract_y
_atom_site_fract_z
Cr1 0.0000 0.0000 0.0000
Ag1 0.0000 0.0000 0.5551
Ag2 0.5000 0.5000 0.7780
Pb1 0.5000 0.5000 0.2671
```

Entry 3:
Computed powder XRD pattern
Compound: CrAg2Pb
Radiation: Cu Kα, 1.54184 Å
Structure: a structure optimized by DFT (GGA-PBE)

The 10 most intense peaks (10° ≤ 2θ ≤ 80°), by angle:
36.13 deg, I 100
40.80 deg, I 18
41.18 deg, I 17
43.85 deg, I 14
59.36 deg, I 11
61.44 deg, I 10
71.23 deg, I 13
71.76 deg, I 13
75.53 deg, I 11
76.66 deg, I 11

```
data_CrAg2Pb
_symmetry_space_group_name_H-M 'P 1'
_symmetry_Int_Tables_number 1
_symmetry_space_group_name_Hall 'P 1'
_cell_length_a 9.3438
_cell_length_b 4.4234
_cell_length_c 4.3844
_cell_angle_alpha 90.00
_cell_angle_beta 117.90
_cell_angle_gamma 90.00
loop_
_atom_site_label
_atom_site_fract_x
_atom_site_fract_y
_atom_site_fract_z
Cr1 0.0000 0.0000 0.0000
Cr2 0.5000 0.5000 0.0000
Ag1 0.2491 0.0000 0.7489
Ag2 0.4985 0.0000 0.4986
Ag3 0.7491 0.5000 0.7489
Ag4 0.9985 0.5000 0.4986
Pb1 0.2491 0.5000 0.2492
Pb2 0.7491 0.0000 0.2492
```

Entry 4:
Computed powder XRD pattern
Compound: CrAgPt6
Radiation: Cu Kα, 1.54184 Å
Structure: a structure optimized by DFT (GGA-PBE)

The 10 most intense peaks (10° ≤ 2θ ≤ 80°), by angle:
22.43 deg, I 6
22.57 deg, I 3
32.00 deg, I 7
39.46 deg, I 100
45.79 deg, I 33
46.07 deg, I 16
51.60 deg, I 3
56.97 deg, I 2
66.76 deg, I 11
66.98 deg, I 20

```
data_CrAgPt6
_symmetry_space_group_name_H-M 'P 1'
_symmetry_Int_Tables_number 1
_symmetry_space_group_name_Hall 'P 1'
_cell_length_a 3.9632
_cell_length_b 3.9632
_cell_length_c 7.8802
_cell_angle_alpha 90.00
_cell_angle_beta 90.00
_cell_angle_gamma 90.00
loop_
_atom_site_label
_atom_site_fract_x
_atom_site_fract_y
_atom_site_fract_z
Cr1 0.0000 0.0000 0.0000
Ag1 0.0000 0.0000 0.5000
Pt1 0.0000 0.5000 0.2385
Pt2 0.0000 0.5000 0.7615
Pt3 0.5000 0.0000 0.2385
Pt4 0.5000 0.0000 0.7615
Pt5 0.5000 0.5000 0.0000
Pt6 0.5000 0.5000 0.5000
```

Entry 5:
Computed powder XRD pattern
Compound: RbCrAgTe2
Radiation: Cu Kα, 1.54184 Å
Structure: a structure optimized by DFT (GGA-PBE)

The 10 most intense peaks (10° ≤ 2θ ≤ 80°), by angle:
11.42 deg, I 26
25.84 deg, I 100
27.37 deg, I 42
29.50 deg, I 23
34.84 deg, I 22
35.82 deg, I 20
38.61 deg, I 28
44.61 deg, I 15
46.94 deg, I 22
47.46 deg, I 19

```
data_RbCrAgTe2
_symmetry_space_group_name_H-M 'P 1'
_symmetry_Int_Tables_number 1
_symmetry_space_group_name_Hall 'P 1'
_cell_length_a 8.4042
_cell_length_b 8.4042
_cell_length_c 6.5781
_cell_angle_alpha 90.00
_cell_angle_beta 90.00
_cell_angle_gamma 134.37
loop_
_atom_site_label
_atom_site_fract_x
_atom_site_fract_y
_atom_site_fract_z
Rb1 0.2500 0.7500 0.7730
Rb2 0.7500 0.2500 0.2270
Cr1 0.2500 0.2500 0.5000
Cr2 0.7500 0.7500 0.5000
Ag1 0.0000 0.0000 0.0000
Ag2 0.5000 0.5000 0.0000
Te1 0.1151 0.8849 0.3012
Te2 0.3849 0.6151 0.3012
Te3 0.6151 0.3849 0.6988
Te4 0.8849 0.1151 0.6988
```

Entry 6:
Computed powder XRD pattern
Compound: CrReAg
Radiation: Cu Kα, 1.54184 Å
Structure: a structure optimized by DFT (GGA-PBE)

The 10 most intense peaks (10° ≤ 2θ ≤ 80°), by angle:
16.58 deg, I 19
31.53 deg, I 28
33.53 deg, I 14
39.72 deg, I 100
43.49 deg, I 43
56.01 deg, I 13
63.19 deg, I 14
69.32 deg, I 12
69.45 deg, I 13
77.28 deg, I 27

```
data_CrReAg
_symmetry_space_group_name_H-M 'P 1'
_symmetry_Int_Tables_number 1
_symmetry_space_group_name_Hall 'P 1'
_cell_length_a 2.9428
_cell_length_b 2.9428
_cell_length_c 10.6907
_cell_angle_alpha 90.00
_cell_angle_beta 90.00
_cell_angle_gamma 90.00
loop_
_atom_site_label
_atom_site_fract_x
_atom_site_fract_y
_atom_site_fract_z
Cr1 0.0000 0.0000 0.0000
Cr2 0.5000 0.5000 0.5000
Re1 0.0000 0.0000 0.6210
Re2 0.5000 0.5000 0.1210
Ag1 0.0000 0.0000 0.3179
Ag2 0.5000 0.5000 0.8179
```

Entry 7:
Computed powder XRD pattern
Compound: Cr2AgS4
Radiation: Cu Kα, 1.54184 Å
Structure: a structure optimized by DFT (GGA-PBE)

The 10 most intense peaks (10° ≤ 2θ ≤ 80°), by angle:
21.41 deg, I 44
26.58 deg, I 36
28.04 deg, I 78
33.54 deg, I 37
34.52 deg, I 100
36.17 deg, I 49
41.70 deg, I 51
42.31 deg, I 53
51.28 deg, I 36
52.60 deg, I 37

```
data_Cr2AgS4
_symmetry_space_group_name_H-M 'P 1'
_symmetry_Int_Tables_number 1
_symmetry_space_group_name_Hall 'P 1'
_cell_length_a 11.0864
_cell_length_b 3.4801
_cell_length_c 12.5204
_cell_angle_alpha 90.00
_cell_angle_beta 90.00
_cell_angle_gamma 90.00
loop_
_atom_site_label
_atom_site_fract_x
_atom_site_fract_y
_atom_site_fract_z
Cr1 0.0531 0.2500 0.1177
Cr2 0.0928 0.2500 0.5934
Cr3 0.4072 0.7500 0.0934
Cr4 0.4469 0.7500 0.6177
Cr5 0.5531 0.2500 0.3823
Cr6 0.5928 0.2500 0.9066
Cr7 0.9072 0.7500 0.4066
Cr8 0.9469 0.7500 0.8823
Ag1 0.2406 0.2500 0.3250
Ag2 0.2594 0.7500 0.8250
Ag3 0.7406 0.2500 0.1750
Ag4 0.7594 0.7500 0.6750
S1 0.0500 0.7500 0.7147
S2 0.0847 0.2500 0.9321
S3 0.1130 0.7500 0.4627
S4 0.1940 0.7500 0.1494
S5 0.3060 0.2500 0.6494
S6 0.3870 0.2500 0.9627
S7 0.4153 0.7500 0.4321
S8 0.4500 0.2500 0.2147
S9 0.5500 0.7500 0.7853
S10 0.5847 0.2500 0.5679
S11 0.6130 0.7500 0.0373
S12 0.6940 0.7500 0.3506
S13 0.8060 0.2500 0.8506
S14 0.8870 0.2500 0.5373
S15 0.9153 0.7500 0.0679
S16 0.9500 0.2500 0.2853
```

Entry 8:
Computed powder XRD pattern
Compound: Cr5AgS8
Radiation: Cu Kα, 1.54184 Å
Structure: a structure optimized by DFT (GGA-PBE)

The 10 most intense peaks (10° ≤ 2θ ≤ 80°), by angle:
14.28 deg, I 37
15.60 deg, I 31
26.65 deg, I 31
27.75 deg, I 35
29.77 deg, I 80
33.98 deg, I 54
43.25 deg, I 94
44.36 deg, I 42
45.93 deg, I 46
52.65 deg, I 100

```
data_Cr5AgS8
_symmetry_space_group_name_H-M 'P 1'
_symmetry_Int_Tables_number 1
_symmetry_space_group_name_Hall 'P 1'
_cell_length_a 6.0314
_cell_length_b 6.9476
_cell_length_c 12.5083
_cell_angle_alpha 90.00
_cell_angle_beta 97.34
_cell_angle_gamma 90.00
loop_
_atom_site_label
_atom_site_fract_x
_atom_site_fract_y
_atom_site_fract_z
Cr1 0.0000 0.0000 0.0000
Cr2 0.0000 0.5000 0.0000
Cr3 0.0762 0.0022 0.2396
Cr4 0.0762 0.4978 0.2396
Cr5 0.4493 0.2500 0.7778
Cr6 0.4508 0.7500 0.7797
Cr7 0.5492 0.2500 0.2203
Cr8 0.5507 0.7500 0.2222
Cr9 0.9238 0.5022 0.7604
Cr10 0.9238 0.9978 0.7604
Ag1 0.3501 0.7500 0.5304
Ag2 0.6499 0.2500 0.4696
S1 0.1294 0.2500 0.8847
S2 0.1287 0.7500 0.8856
S3 0.2498 0.0009 0.6749
S4 0.2498 0.4991 0.6749
S5 0.2629 0.2500 0.3373
S6 0.2643 0.7500 0.3352
S7 0.3521 0.5009 0.1162
S8 0.3521 0.9991 0.1162
S9 0.6479 0.0009 0.8838
S10 0.6479 0.4991 0.8838
S11 0.7357 0.2500 0.6648
S12 0.7371 0.7500 0.6627
S13 0.7502 0.5009 0.3251
S14 0.7502 0.9991 0.3251
S15 0.8713 0.2500 0.1144
S16 0.8706 0.7500 0.1153
```